# 1
For Li3TbZr2Se6, a cell relaxed with PBE gives the simulated powder diffractogram in this record (CuKα).

Cell and atoms:
a b c (Å): 6.7023 11.6105 6.9536
angles (deg): 90.00 108.78 90.00
Space group C2/m (No. 12)
Inequivalent atoms, fractional coordinates:
Li 0.0000 0.0000 0.0000 (multiplicity 2)
Li 0.0000 0.3361 0.0000 (multiplicity 4)
Tb 0.0000 0.5000 0.5000 (multiplicity 2)
Zr 0.0000 0.1668 0.5000 (multiplicity 4)
Se 0.2395 0.0000 0.7545 (multiplicity 4)
Se 0.2424 0.1729 0.2463 (multiplicity 8)

The 12 most intense peaks (5 to 70 degrees two-theta), sorted by position:
| 2theta | I_rel | (hkl) |
| --- | --- | --- |
| 13.45 | 39 | 0 0 1 |
| 26.98 | 25 | 1 3 0 |
| 32.28 | 100 | 1 3 1 |
| 35.12 | 14 | 2 0 1 |
| 41.85 | 6 | 2 0 -3 |
| 45.64 | 38 | 2 0 2 |
| 46.96 | 34 | 0 6 0 |
| 49.07 | 9 | 3 3 -2 |
| 55.86 | 7 | 0 0 4 |
| 58.12 | 12 | 2 6 -2 |
| 58.15 | 6 | 4 0 0 |
| 67.56 | 11 | 2 6 2 |



# 2
For Rb2CdClF3, a cell relaxed with PBE gives the simulated powder diffractogram in this record (CuKα).

Cell and atoms:
a b c (Å): 4.5730 5.1588 14.4022
angles (deg): 90.00 90.00 90.00
Space group Immm (No. 71)
Inequivalent atoms, fractional coordinates:
Rb 0.0000 0.0000 0.1566 (multiplicity 4)
Cd 0.0000 0.0000 0.5000 (multiplicity 2)
Cl 0.0000 0.5000 0.5000 (multiplicity 2)
F 0.0000 0.0000 0.3429 (multiplicity 4)
F 0.0000 0.5000 0.0000 (multiplicity 2)

The 12 most intense peaks (5 to 70 degrees two-theta), sorted by position:
| 2theta | I_rel | (hkl) |
| --- | --- | --- |
| 12.29 | 32 | 0 0 2 |
| 25.34 | 75 | 0 1 3 |
| 26.04 | 100 | 1 1 0 |
| 26.93 | 85 | 1 0 3 |
| 34.78 | 46 | 0 2 0 |
| 37.47 | 35 | 0 0 6 |
| 39.41 | 32 | 2 0 0 |
| 44.53 | 43 | 1 2 3 |
| 46.20 | 37 | 1 1 6 |
| 47.44 | 28 | 2 1 3 |
| 52.04 | 25 | 0 2 6 |
| 53.56 | 25 | 2 2 0 |



# 3
For Zr4CuNi, a cell relaxed with PBE gives the simulated powder diffractogram in this record (CuKα).

Cell and atoms:
a b c (Å): 6.6209 6.6209 5.1794
angles (deg): 90.00 90.00 90.00
Space group P4/mcc (No. 124)
Inequivalent atoms, fractional coordinates:
Zr 0.1556 0.3348 0.0000 (multiplicity 8)
Cu 0.5000 0.5000 0.2500 (multiplicity 2)
Ni 0.0000 0.0000 0.2500 (multiplicity 2)

The 12 most intense peaks (5 to 70 degrees two-theta), sorted by position:
| 2theta | I_rel | (hkl) |
| --- | --- | --- |
| 34.64 | 9 | 0 0 2 |
| 34.90 | 100 | 2 1 1 |
| 38.46 | 10 | 2 2 0 |
| 39.78 | 25 | 1 1 2 |
| 43.21 | 37 | 3 1 0 |
| 44.41 | 27 | 2 0 2 |
| 56.52 | 1 | 3 1 2 |
| 59.21 | 3 | 3 3 0 |
| 60.35 | 14 | 4 1 1 |
| 62.25 | 18 | 2 1 3 |
| 62.76 | 6 | 4 2 0 |
| 67.11 | 11 | 4 0 2 |